Simulated XRD peak list
Compound: DyYSe2Br2
Radiation: λ = 1.5418 Å (Cu Kα)
Structure: a DFT-relaxed cell (GGA-PBE, OQMD)

Most intense lines, 10 to 80 degrees two-theta, low angle first:
2θ (°)  I/Imax  index
10.13  83.2  0 0 1
18.74  52.5  0 1 1
29.86  100.0  1 0 2
31.76  44.8  0 2 0
41.25  25.2  1 1 3
41.36  17.2  0 0 4
44.14  85.2  2 0 0
55.35  18.1  2 2 0

Structure:
a b c (Å): 4.108 5.635 8.732
angles (deg): 90.00 90.00 90.00
Element x y z (fractional)
Dy: 0.000 0.000 0.000
Y: 0.500 0.500 0.736
Se: 0.000 0.500 0.967
Se: 0.500 0.000 0.770
Br: 0.000 0.500 0.514
Br: 0.500 0.000 0.221